For US4, DFT lattice parameters and positions (GGA-PBE) gives the simulated X-ray diffraction stick pattern in this record (Cu Ka).

Principal peaks in the range 2θ from 10° to 90°, in order of falling intensity:
- (0 0 1), 12.75°, rel. 100
- (1 1 0), 23.49°, rel. 77
- (1 1 2), 36.32°, rel. 47
- (0 0 2), 25.66°, rel. 29
- (2 0 -1), 25.56°, rel. 28
- (1 1 1), 27.61°, rel. 28
- (0 2 2), 48.98°, rel. 28
- (3 1 -1), 42.29°, rel. 27
- (2 0 -3), 43.10°, rel. 25
- (2 0 0), 23.93°, rel. 23

Structure:
```
data_US4
_cell_length_a 7.510
_cell_length_b 4.400
_cell_length_c 7.011
_cell_angle_alpha 90.00
_cell_angle_beta 97.95
_cell_angle_gamma 90.00
_symmetry_space_group_name_H-M 'C 1 2/m 1'
_symmetry_Int_Tables_number 12
loop_
_symmetry_equiv_pos_as_xyz
'x,y,z'
'-x,-y,-z'
'-x,y,-z'
'x,-y,z'
'x+1/2,y+1/2,z'
'-x+1/2,-y+1/2,-z'
'-x+1/2,y+1/2,-z'
'x+1/2,-y+1/2,z'
loop_
_atom_site_label
_atom_site_type_symbol
_atom_site_fract_x
_atom_site_fract_y
_atom_site_fract_z
U1 U 0.000 0.000 0.000
S1 S 0.095 0.000 0.417
S2 S 0.186 0.500 0.140
```

---

For U2S5, DFT lattice parameters and positions (GGA-PBE) gives the simulated X-ray diffraction stick pattern in this record (Cu Ka).

Principal peaks in the range 2θ from 10° to 90°, in order of falling intensity:
- (1 2 1), 24.78°, rel. 100
- (1 2 3), 42.87°, rel. 85
- (0 0 2), 24.15°, rel. 63
- (2 0 2), 34.41°, rel. 37
- (0 4 2), 44.00°, rel. 27
- (1 2 5), 67.48°, rel. 20
- (2 4 4), 68.33°, rel. 15
- (0 4 0), 36.21°, rel. 15
- (1 4 1), 40.26°, rel. 15
- (2 0 4), 55.77°, rel. 14

Structure:
```
data_U2S5
_cell_length_a 7.367
_cell_length_b 9.923
_cell_length_c 7.375
_cell_angle_alpha 90.00
_cell_angle_beta 90.00
_cell_angle_gamma 90.00
_symmetry_space_group_name_H-M 'P b c n'
_symmetry_Int_Tables_number 60
loop_
_symmetry_equiv_pos_as_xyz
'x,y,z'
'-x,-y,-z'
'-x+1/2,-y+1/2,z+1/2'
'x+1/2,y+1/2,-z+1/2'
'x+1/2,-y+1/2,-z'
'-x+1/2,y+1/2,z'
'-x,y,-z+1/2'
'x,-y,z+1/2'
loop_
_atom_site_label
_atom_site_type_symbol
_atom_site_fract_x
_atom_site_fract_y
_atom_site_fract_z
U1 U 0.239 0.147 0.009
S1 S 0.000 0.251 0.750
S2 S 0.107 0.397 0.143
S3 S 0.131 0.106 0.382
```